[1]
Simulated powder diffractogram
Compound: Li2NdGe
Radiation: Cu Kα
Structure: a structure optimized by DFT (PBE)
No peak broadening, texture or thermal motion is included.

Cell and atoms:
Cell: 4.360 4.360 9.495 Å, 90.00 90.00 120.00°
Fractional coordinates of all 8 atoms:
Li 0.333 0.667 0.065
Li 0.333 0.667 0.435
Li 0.667 0.333 0.565
Li 0.667 0.333 0.935
Nd 0.333 0.667 0.750
Nd 0.667 0.333 0.250
Ge 0.000 0.000 0.000
Ge 0.000 0.000 0.500

Top 10 peaks for 2θ = 10–90°, most intense first:
2theta, I/Imax
25.38, 1000
30.24, 904
41.42, 488
37.06, 448
57.39, 337
52.13, 195
37.90, 189
68.67, 168
49.20, 166
66.22, 136

---

[2]
Simulated powder diffractogram
Compound: LiNd4Ge4
Radiation: Cu Kα
Structure: a structure optimized by DFT (PBE)
No peak broadening, texture or thermal motion is included.

Cell and atoms:
Cell: 7.425 15.231 7.996 Å, 90.00 90.00 90.00°
Fractional coordinates of all 36 atoms:
Li 0.159 0.250 0.029
Li 0.341 0.750 0.529
Li 0.659 0.250 0.471
Li 0.841 0.750 0.971
Nd 0.022 0.601 0.689
Nd 0.022 0.899 0.689
Nd 0.174 0.628 0.178
Nd 0.174 0.872 0.178
Nd 0.326 0.128 0.678
Nd 0.326 0.372 0.678
Nd 0.478 0.101 0.189
Nd 0.478 0.399 0.189
Nd 0.522 0.601 0.811
Nd 0.522 0.899 0.811
Nd 0.674 0.628 0.322
Nd 0.674 0.872 0.322
Nd 0.826 0.128 0.822
Nd 0.826 0.372 0.822
Nd 0.978 0.101 0.311
Nd 0.978 0.399 0.311
Ge 0.016 0.250 0.581
Ge 0.159 0.036 0.967
Ge 0.159 0.464 0.967
Ge 0.225 0.750 0.867
Ge 0.275 0.250 0.367
Ge 0.341 0.536 0.467
Ge 0.341 0.964 0.467
Ge 0.484 0.750 0.081
Ge 0.516 0.250 0.919
Ge 0.659 0.036 0.533
Ge 0.659 0.464 0.533
Ge 0.725 0.750 0.633
Ge 0.775 0.250 0.133
Ge 0.841 0.536 0.033
Ge 0.841 0.964 0.033
Ge 0.984 0.750 0.419

Top 10 peaks for 2θ = 10–90°, most intense first:
2theta, I/Imax
31.89, 1000
30.91, 702
32.47, 545
34.71, 420
38.06, 353
56.18, 290
27.12, 236
36.29, 218
23.36, 212
17.31, 211

---

[3]
Simulated powder diffractogram
Compound: LiNdGe2
Radiation: Cu Kα
Structure: a structure optimized by DFT (PBE)
No peak broadening, texture or thermal motion is included.

Cell and atoms:
Cell: 7.816 3.992 10.672 Å, 90.00 90.00 90.00°
Fractional coordinates of all 16 atoms:
Li 0.010 0.250 0.109
Li 0.490 0.750 0.609
Li 0.510 0.250 0.391
Li 0.990 0.750 0.891
Nd 0.140 0.750 0.365
Nd 0.360 0.250 0.865
Nd 0.640 0.750 0.135
Nd 0.860 0.250 0.635
Ge 0.155 0.750 0.684
Ge 0.223 0.750 0.067
Ge 0.277 0.250 0.567
Ge 0.345 0.250 0.184
Ge 0.655 0.750 0.816
Ge 0.723 0.750 0.433
Ge 0.777 0.250 0.933
Ge 0.845 0.250 0.316

Top 10 peaks for 2θ = 10–90°, most intense first:
2theta, I/Imax
32.05, 1000
35.71, 810
14.05, 489
33.75, 461
27.55, 369
22.76, 312
45.45, 305
43.03, 281
47.11, 259
34.08, 241

---

[4]
Simulated powder diffractogram
Compound: Li4Nd3Ge4
Radiation: Cu Kα
Structure: a structure optimized by DFT (PBE)
No peak broadening, texture or thermal motion is included.

Cell and atoms:
Cell: 8.437 8.437 8.437 Å, 149.48 132.07 57.90°
Fractional coordinates of all 11 atoms:
Li 0.020 0.828 0.192
Li 0.363 0.172 0.192
Li 0.637 0.828 0.808
Li 0.980 0.172 0.808
Nd 0.000 0.500 0.500
Nd 0.369 0.369 0.000
Nd 0.631 0.631 0.000
Ge 0.213 0.713 0.500
Ge 0.315 0.000 0.315
Ge 0.685 0.000 0.685
Ge 0.787 0.287 0.500

Top 10 peaks for 2θ = 10–90°, most intense first:
2theta, I/Imax
34.19, 1000
33.58, 731
26.00, 324
40.62, 261
27.04, 259
33.03, 247
20.88, 234
22.24, 184
50.51, 172
11.99, 141

---

[5]
Simulated powder diffractogram
Compound: LiNdGeO4
Radiation: Cu Kα
Structure: a structure optimized by DFT (PBE)
No peak broadening, texture or thermal motion is included.

Cell and atoms:
Cell: 5.155 12.049 5.456 Å, 90.00 90.00 90.00°
Fractional coordinates of all 28 atoms:
Li 0.000 0.233 0.250
Li 0.000 0.767 0.750
Li 0.500 0.267 0.750
Li 0.500 0.733 0.250
Nd 0.000 0.113 0.750
Nd 0.000 0.887 0.250
Nd 0.500 0.387 0.250
Nd 0.500 0.613 0.750
Ge 0.000 0.390 0.750
Ge 0.000 0.610 0.250
Ge 0.500 0.110 0.250
Ge 0.500 0.890 0.750
O 0.176 0.298 0.547
O 0.176 0.702 0.047
O 0.249 0.043 0.415
O 0.249 0.957 0.915
O 0.251 0.457 0.915
O 0.251 0.543 0.415
O 0.324 0.202 0.047
O 0.324 0.798 0.547
O 0.676 0.202 0.453
O 0.676 0.798 0.953
O 0.749 0.457 0.585
O 0.749 0.543 0.085
O 0.751 0.043 0.085
O 0.751 0.957 0.585
O 0.824 0.298 0.953
O 0.824 0.702 0.453

Top 10 peaks for 2θ = 10–90°, most intense first:
2theta, I/Imax
24.89, 1000
32.69, 905
48.60, 262
44.82, 248
29.66, 242
46.37, 234
32.83, 200
59.06, 198
58.52, 185
57.97, 176

---

[6]
Simulated powder diffractogram
Compound: LiGeO3
Radiation: Cu Kα
Structure: a structure optimized by DFT (PBE)
No peak broadening, texture or thermal motion is included.

Cell and atoms:
Cell: 3.727 3.727 3.727 Å, 90.00 90.00 90.00°
Fractional coordinates of all 5 atoms:
Li 0.000 0.000 0.000
Ge 0.500 0.500 0.500
O 0.000 0.500 0.500
O 0.500 0.000 0.500
O 0.500 0.500 0.000

Top 10 peaks for 2θ = 10–90°, most intense first:
2theta, I/Imax
23.87, 1000
34.02, 418
55.10, 359
48.87, 285
60.88, 169
76.71, 158
71.61, 156
81.70, 75
41.98, 20
86.63, 19

---

[7]
Simulated powder diffractogram
Compound: Li4Ge9O20
Radiation: Cu Kα
Structure: a structure optimized by DFT (PBE)
No peak broadening, texture or thermal motion is included.

Cell and atoms:
Cell: 7.497 7.497 7.601 Å, 90.51 90.51 65.49°
Fractional coordinates of all 33 atoms:
Li 0.000 0.000 0.000
Li 0.396 0.018 0.618
Li 0.618 0.382 0.000
Li 0.982 0.604 0.382
Ge 0.010 0.180 0.330
Ge 0.211 0.588 0.760
Ge 0.249 0.279 0.050
Ge 0.412 0.789 0.240
Ge 0.562 0.438 0.500
Ge 0.677 0.020 0.291
Ge 0.721 0.751 0.950
Ge 0.820 0.990 0.670
Ge 0.980 0.323 0.709
O 0.037 0.829 0.799
O 0.081 0.359 0.230
O 0.110 0.114 0.545
O 0.121 0.462 0.613
O 0.171 0.963 0.201
O 0.180 0.169 0.870
O 0.292 0.481 0.970
O 0.413 0.565 0.319
O 0.435 0.587 0.681
O 0.489 0.129 0.116
O 0.519 0.708 0.030
O 0.538 0.879 0.387
O 0.569 0.196 0.501
O 0.641 0.919 0.770
O 0.795 0.193 0.215
O 0.804 0.431 0.499
O 0.807 0.205 0.785
O 0.831 0.820 0.130
O 0.871 0.511 0.884
O 0.886 0.890 0.455

Top 10 peaks for 2θ = 10–90°, most intense first:
2theta, I/Imax
17.43, 1000
18.38, 738
32.28, 723
21.92, 638
30.58, 371
35.98, 345
39.12, 314
28.63, 301
33.83, 296
26.72, 288

---

[8]
Simulated powder diffractogram
Compound: Li2Ge2O5
Radiation: Cu Kα
Structure: a structure optimized by DFT (PBE)
No peak broadening, texture or thermal motion is included.

Cell and atoms:
Cell: 8.308 8.308 5.044 Å, 90.00 90.00 137.31°
Fractional coordinates of all 18 atoms:
Li 0.095 0.207 0.000
Li 0.207 0.095 0.500
Li 0.793 0.905 0.500
Li 0.905 0.793 0.000
Ge 0.194 0.486 0.507
Ge 0.486 0.194 0.007
Ge 0.514 0.806 0.007
Ge 0.806 0.514 0.507
O 0.000 0.500 0.600
O 0.094 0.228 0.612
O 0.228 0.094 0.112
O 0.254 0.523 0.156
O 0.477 0.746 0.656
O 0.500 0.000 0.100
O 0.523 0.254 0.656
O 0.746 0.477 0.156
O 0.772 0.906 0.112
O 0.906 0.772 0.612

Top 10 peaks for 2θ = 10–90°, most intense first:
2theta, I/Imax
23.68, 1000
22.66, 498
22.99, 472
36.54, 300
37.18, 236
35.60, 228
15.73, 196
48.48, 156
64.56, 135
64.98, 120